No. 1
Structure and computed X-ray powder pattern of CrCuSnSe4 (the PBE geometry in the Materials Project; Cu Kα (weighted mean of Kα1 and Kα2)).
Peak positions follow from Bragg's law for the DFT cell and can differ from measured ones.

Peak list (6 most intense, 2θ = 10–80°, in order of rising 2θ)
| d (Å) | 2theta | I_rel |
| --- | --- | --- |
| 3.281 | 27.18 | 46 |
| 3.248 | 27.46 | 44 |
| 2.709 | 33.07 | 83 |
| 2.693 | 33.27 | 40 |
| 1.910 | 47.62 | 100 |
| 1.898 | 47.92 | 26 |

Structure:
```
14
Lattice="-3.796 3.866 5.386 3.796 -3.866 5.386 3.796 3.866 -5.386" Properties=species:S:1:pos:R:3 pbc="T T T"
Cr -1.898 1.933 2.693
Cr 1.898 1.933 2.693
Cu 3.796 1.933 -1.400
Cu 0.000 1.933 6.786
Sn 0.000 0.000 0.000
Sn 0.000 3.866 0.000
Se 1.926 1.933 0.151
Se 5.667 1.933 0.151
Se 3.796 0.183 2.670
Se 0.000 0.183 2.716
Se 3.796 3.683 2.670
Se 0.000 3.683 2.716
Se -1.870 1.933 5.235
Se 1.870 1.933 5.235
```

=====

No. 2
Structure and computed X-ray powder pattern of TlN (the PBE geometry in the Materials Project; Cu Kα (weighted mean of Kα1 and Kα2)).
Peak positions follow from Bragg's law for the DFT cell and can differ from measured ones.

Peak list (6 most intense, 2θ = 10–80°, in order of rising 2θ)
| d (Å) | 2theta | I_rel |
| --- | --- | --- |
| 3.230 | 27.62 | 29 |
| 3.043 | 29.35 | 29 |
| 2.853 | 31.35 | 100 |
| 1.865 | 48.84 | 25 |
| 1.718 | 53.33 | 28 |
| 1.590 | 58.01 | 27 |

Structure:
```
4
Lattice="3.729 0.000 0.000 -1.865 3.230 0.000 0.000 0.000 6.086" Properties=species:S:1:pos:R:3 pbc="T T T"
Tl 0.000 2.153 0.000
Tl 1.865 1.077 3.043
N 0.000 2.153 3.800
N 1.865 1.077 0.757
```

=====

No. 3
Structure and computed X-ray powder pattern of Ba6MgSc2C2O6F14 (the PBE geometry in the Materials Project; Cu Kα (weighted mean of Kα1 and Kα2)).
Peak positions follow from Bragg's law for the DFT cell and can differ from measured ones.

Peak list (6 most intense, 2θ = 10–80°, in order of rising 2θ)
| d (Å) | 2theta | I_rel |
| --- | --- | --- |
| 4.020 | 22.11 | 100 |
| 3.624 | 24.56 | 50 |
| 3.448 | 25.84 | 83 |
| 2.981 | 29.97 | 43 |
| 2.237 | 40.31 | 37 |
| 2.076 | 43.60 | 42 |

Structure:
```
31
Lattice="8.997 0.000 0.000 0.000 5.962 0.000 -0.528 0.000 10.889" Properties=species:S:1:pos:R:3 pbc="T T T"
Ba 0.000 0.000 0.000
Ba 0.167 2.981 3.236
Ba 1.428 2.981 8.392
Ba 3.839 0.000 10.359
Ba 5.036 2.981 4.310
Ba 7.420 0.000 6.393
Mg 2.888 0.000 2.603
Sc 2.179 0.000 5.634
Sc 6.647 2.981 9.575
C 4.231 0.000 7.130
C 4.758 2.981 7.661
O 2.975 0.000 7.566
O 3.833 2.981 6.770
O 4.367 0.000 5.823
O 4.475 2.981 8.942
O 5.204 0.000 7.926
O 6.026 2.981 7.346
F 0.852 0.000 2.495
F 0.777 1.355 6.145
F 0.777 4.607 6.145
F 1.642 1.384 10.315
F 1.642 4.578 10.315
F 2.532 1.393 4.144
F 2.532 4.569 4.144
F 6.051 1.433 10.684
F 6.051 4.530 10.684
F 7.244 1.595 4.294
F 7.244 4.368 4.294
F 8.030 1.601 8.756
F 8.030 4.361 8.756
F 8.615 2.981 0.543
```

=====

No. 4
Structure and computed X-ray powder pattern of Ti2Si2O5 (the PBE geometry in the Materials Project; Cu Kα (weighted mean of Kα1 and Kα2)).
Peak positions follow from Bragg's law for the DFT cell and can differ from measured ones.

Peak list (6 most intense, 2θ = 10–80°, in order of rising 2θ)
| d (Å) | 2theta | I_rel |
| --- | --- | --- |
| 2.678 | 33.47 | 49 |
| 2.305 | 39.08 | 100 |
| 1.969 | 46.11 | 52 |
| 1.893 | 48.06 | 84 |
| 1.463 | 63.60 | 45 |
| 1.339 | 70.32 | 22 |

Structure:
```
9
Lattice="3.787 0.000 0.000 0.000 3.787 0.000 0.000 0.000 5.809" Properties=species:S:1:pos:R:3 pbc="T T T"
Ti 0.000 0.000 0.000
Ti 0.000 0.000 2.905
Si 1.893 1.893 1.215
Si 1.893 1.893 4.594
O 0.000 1.893 1.324
O 0.000 1.893 4.485
O 1.893 0.000 1.324
O 1.893 0.000 4.485
O 1.893 1.893 2.905
```

=====

No. 5
Structure and computed X-ray powder pattern of KHgBr3O (the PBE geometry in the Materials Project; Cu Kα (weighted mean of Kα1 and Kα2)).
Peak positions follow from Bragg's law for the DFT cell and can differ from measured ones.

Peak list (6 most intense, 2θ = 10–80°, in order of rising 2θ)
| d (Å) | 2theta | I_rel |
| --- | --- | --- |
| 7.933 | 11.15 | 28 |
| 5.670 | 15.63 | 32 |
| 4.613 | 19.24 | 26 |
| 4.383 | 20.26 | 33 |
| 3.468 | 25.69 | 100 |
| 2.380 | 37.79 | 19 |

Structure:
```
12
Lattice="2.280 -7.933 0.000 2.280 7.933 0.000 0.000 0.000 11.340" Properties=species:S:1:pos:R:3 pbc="T T T"
K 2.280 4.117 5.670
K 2.280 -4.117 0.000
Hg 2.280 0.271 7.975
Hg 2.280 -0.271 2.305
Br 2.280 6.902 0.258
Br 2.280 2.573 8.984
Br 2.280 2.231 2.135
Br 2.280 -2.231 7.805
Br 2.280 -2.573 3.314
Br 2.280 -6.902 5.928
O 2.280 5.120 0.118
O 2.280 -5.120 5.789
```

=====

No. 6
Structure and computed X-ray powder pattern of Lu6TeO12 (the PBE geometry in the Materials Project; Cu Kα (weighted mean of Kα1 and Kα2)).
Peak positions follow from Bragg's law for the DFT cell and can differ from measured ones.

Peak list (6 most intense, 2θ = 10–80°, in order of rising 2θ)
| d (Å) | 2theta | I_rel |
| --- | --- | --- |
| 3.053 | 29.26 | 29 |
| 2.993 | 29.85 | 100 |
| 2.605 | 34.43 | 48 |
| 1.855 | 49.10 | 23 |
| 1.828 | 49.87 | 27 |
| 1.569 | 58.88 | 22 |

Structure:
```
19
Lattice="4.838 2.793 3.053 -4.838 2.793 3.053 0.000 -5.586 3.053" Properties=species:S:1:pos:R:3 pbc="T T T"
Lu -2.597 -2.487 4.805
Lu -3.452 1.006 4.353
Lu 0.855 -3.492 4.353
Lu -0.855 3.492 4.805
Lu 3.452 -1.006 4.805
Lu 2.597 2.487 4.353
Te 0.000 0.000 4.579
O -1.203 -3.978 3.985
O -4.047 -0.947 5.173
O -1.646 -0.255 3.532
O -2.843 3.031 3.985
O 1.044 -1.298 3.532
O -0.602 -1.554 5.626
O 0.602 1.554 3.532
O -1.044 1.298 5.626
O 2.843 -3.031 5.173
O 1.646 0.255 5.626
O 4.047 0.947 3.985
O 1.203 3.978 5.173
```

=====

No. 7
Structure and computed X-ray powder pattern of Te2Mo2WSe4 (the PBE geometry in the Materials Project; Cu Kα (weighted mean of Kα1 and Kα2)).
Peak positions follow from Bragg's law for the DFT cell and can differ from measured ones.

Peak list (6 most intense, 2θ = 10–80°, in order of rising 2θ)
| d (Å) | 2theta | I_rel |
| --- | --- | --- |
| 7.854 | 11.27 | 100 |
| 2.947 | 30.33 | 34 |
| 2.568 | 34.93 | 53 |
| 2.464 | 36.47 | 67 |
| 2.051 | 44.16 | 48 |
| 1.701 | 53.91 | 39 |

Structure:
```
9
Lattice="3.403 0.000 0.000 -1.702 2.947 0.000 0.000 0.000 31.417" Properties=species:S:1:pos:R:3 pbc="T T T"
Te 0.000 0.000 1.882
Te 0.000 0.000 29.536
Mo 0.000 0.000 7.268
Mo 0.000 0.000 24.149
W 0.000 1.965 0.000
Se 0.000 1.965 5.618
Se 0.000 1.965 8.917
Se 0.000 1.965 22.501
Se 0.000 1.965 25.799
```